# Pm4DyMg
Theoretical PXRD pattern, Cu Kα. Input: a structure optimized by DFT (PBE).
Kinematic intensities with the Lorentz-polarization factor, no thermal factor.

Peak list (10 most intense, 10° ≤ 2θ ≤ 90°, by angle)
- hkl 1 0 2, 27.4°, I = 10
- hkl 1 0 3, 30.7°, I = 100
- hkl 1 1 0, 34.8°, I = 37
- hkl 0 0 6, 37.3°, I = 13
- hkl 2 0 0, 50.0°, I = 13
- hkl 1 1 6, 51.9°, I = 21
- hkl 2 1 3, 59.8°, I = 33
- hkl 1 0 9, 63.1°, I = 9
- hkl 2 0 6, 64.0°, I = 11
- hkl 2 1 9, 84.6°, I = 8

Structural model:
```
data_Pm4DyMg
_cell_length_a 3.6499
_cell_length_b 3.6499
_cell_length_c 14.4819
_cell_angle_alpha 90.00
_cell_angle_beta 90.00
_cell_angle_gamma 90.00
_space_group_name_H-M_alt 'P 4/m m m'
_space_group_IT_number 123
_space_group_name_Hall '-P 4 2'
loop_
_atom_site_label
_atom_site_type_symbol
_atom_site_fract_x
_atom_site_fract_y
_atom_site_fract_z
_atom_site_occupancy
Pm1 Pm 0.0000 0.0000 0.1518 1
Pm2 Pm 0.5000 0.5000 0.3263 1
Dy1 Dy 0.0000 0.0000 0.5000 1
Mg1 Mg 0.5000 0.5000 0.0000 1
```